Entry 1:
# Pm2TlCd
Simulated X-ray diffraction stick pattern, Cu Kα (λ = 1.5418 Å). Input: a DFT-relaxed cell (GGA-PBE, the Materials Project).

Principal peaks in the range 10 to 80 degrees two-theta, low angle first:
- 19.89 deg, I = 4, (1 1 1)
- 32.76 deg, I = 100, (2 2 0)
- 47.01 deg, I = 18, (4 0 0)
- 58.48 deg, I = 38, (4 2 2)
- 68.67 deg, I = 12, (4 4 0)
- 78.19 deg, I = 16, (6 2 0)

Structure:
```
data_Pm2TlCd
_symmetry_space_group_name_H-M 'F m -3 m'
_symmetry_Int_Tables_number 225
_symmetry_space_group_name_Hall '-F 4 2 3'
_cell_length_a 7.7316
_cell_length_b 7.7316
_cell_length_c 7.7316
_cell_angle_alpha 90.00
_cell_angle_beta 90.00
_cell_angle_gamma 90.00
loop_
_atom_site_label
_atom_site_type_symbol
_atom_site_fract_x
_atom_site_fract_y
_atom_site_fract_z
_atom_site_occupancy
Pm1 Pm 0.2500 0.2500 0.2500 1
Tl1 Tl 0.0000 0.0000 0.0000 1
Cd1 Cd 0.0000 0.0000 0.5000 1
```

=====

Entry 2:
# Be12Pt
Simulated X-ray diffraction stick pattern, Cu Kα (λ = 1.5418 Å). Input: a DFT-relaxed cell (GGA-PBE, the Materials Project).

Principal peaks in the range 10 to 80 degrees two-theta, low angle first:
- 17.29 deg, I = 76, (1 1 0)
- 24.60 deg, I = 100, (1 0 1)
- 35.03 deg, I = 76, (2 1 1)
- 39.27 deg, I = 23, (3 1 0)
- 43.25 deg, I = 21, (3 0 1)
- 50.34 deg, I = 37, (4 0 0)

Structure:
```
data_Be12Pt
_symmetry_space_group_name_H-M 'I 4/m m m'
_symmetry_Int_Tables_number 139
_symmetry_space_group_name_Hall '-I 4 2'
_cell_length_a 7.2544
_cell_length_b 7.2544
_cell_length_c 4.1710
_cell_angle_alpha 90.00
_cell_angle_beta 90.00
_cell_angle_gamma 90.00
loop_
_atom_site_label
_atom_site_type_symbol
_atom_site_fract_x
_atom_site_fract_y
_atom_site_fract_z
_atom_site_occupancy
Be1 Be 0.0000 0.2248 0.0000 1
Be2 Be 0.0000 0.3483 0.5000 1
Be3 Be 0.2500 0.2500 0.2500 1
Pt1 Pt 0.0000 0.0000 0.5000 1
```

=====

Entry 3:
# Sm2MgSe4
Simulated X-ray diffraction stick pattern, Cu Kα (λ = 1.5418 Å). Input: a DFT-relaxed cell (GGA-PBE, the Materials Project).

Principal peaks in the range 10 to 80 degrees two-theta, low angle first:
- 13.89 deg, I = 71, (1 0 2)
- 22.70 deg, I = 49, (2 0 3)
- 25.53 deg, I = 100, (2 1 0)
- 27.99 deg, I = 68, (2 0 4)
- 30.30 deg, I = 53, (3 1 1)
- 32.17 deg, I = 88, (3 1 2)

Structure:
```
data_Sm2MgSe4
_symmetry_space_group_name_H-M 'P n m a'
_symmetry_Int_Tables_number 62
_cell_length_a 13.3532
_cell_length_b 4.0923
_cell_length_c 14.5104
_cell_angle_alpha 90.00
_cell_angle_beta 90.00
_cell_angle_gamma 90.00
loop_
_symmetry_equiv_pos_as_xyz
'x,y,z'
'-x,-y,-z'
'-x+1/2,-y,z+1/2'
'x+1/2,y,-z+1/2'
'x+1/2,-y+1/2,-z+1/2'
'-x+1/2,y+1/2,z+1/2'
'-x,y+1/2,-z'
'x,-y+1/2,z'
loop_
_atom_site_label
_atom_site_type_symbol
_atom_site_fract_x
_atom_site_fract_y
_atom_site_fract_z
_atom_site_occupancy
Sm1 Sm 0.1179 0.2500 0.0735 1
Sm2 Sm 0.1380 0.2500 0.7037 1
Mg1 Mg 0.1079 0.7500 0.4600 1
Se1 Se 0.0032 0.7500 0.6157 1
Se2 Se 0.0290 0.2500 0.8829 1
Se3 Se 0.2241 0.2500 0.2463 1
Se4 Se 0.2351 0.2500 0.5141 1
```

=====

Repeat the second record exactly.
# Be12Pt
Simulated X-ray diffraction stick pattern, Cu Kα (λ = 1.5418 Å). Input: a DFT-relaxed cell (GGA-PBE, the Materials Project).

Principal peaks in the range 10 to 80 degrees two-theta, low angle first:
- 17.29 deg, I = 76, (1 1 0)
- 24.60 deg, I = 100, (1 0 1)
- 35.03 deg, I = 76, (2 1 1)
- 39.27 deg, I = 23, (3 1 0)
- 43.25 deg, I = 21, (3 0 1)
- 50.34 deg, I = 37, (4 0 0)

Structure:
```
data_Be12Pt
_symmetry_space_group_name_H-M 'I 4/m m m'
_symmetry_Int_Tables_number 139
_symmetry_space_group_name_Hall '-I 4 2'
_cell_length_a 7.2544
_cell_length_b 7.2544
_cell_length_c 4.1710
_cell_angle_alpha 90.00
_cell_angle_beta 90.00
_cell_angle_gamma 90.00
loop_
_atom_site_label
_atom_site_type_symbol
_atom_site_fract_x
_atom_site_fract_y
_atom_site_fract_z
_atom_site_occupancy
Be1 Be 0.0000 0.2248 0.0000 1
Be2 Be 0.0000 0.3483 0.5000 1
Be3 Be 0.2500 0.2500 0.2500 1
Pt1 Pt 0.0000 0.0000 0.5000 1
```